Starting from a crystal structure in Alexandria, relaxed with GGA-PBE, the powder XRD pattern of AlHgAs2Se was computed for Cu Ka.
Intensities are scaled so that the largest is 100.

Atomic structure:
Cell lengths 4.980, 4.980, 4.852 Å; angles 90.00, 90.00, 90.00 degrees
Space group P4/mmm (No. 123)
One atom of each set of equivalent atoms:
Al1 0.000 0.000 0.000 (multiplicity 1)
Hg1 0.500 0.500 0.500 (multiplicity 1)
As1 0.000 0.500 0.000 (multiplicity 2)
Se1 0.000 0.000 0.500 (multiplicity 1)

Largest 10 diffraction maxima, sorted by position, 2θ = 15–90°:
two_theta  I/Imax  h k l
25.6  21.5  1 0 1
31.4  100.0  1 1 1
36.1  44.3  2 0 0
37.1  20.6  0 0 2
51.9  15.5  2 2 0
52.7  29.8  2 0 2
62.0  28.6  3 1 1
63.3  13.4  1 1 3
65.5  15.5  2 2 2
86.2  11.9  3 1 3